No. 1
Structure and theoretical powder XRD pattern of InMo6Se8 (DFT lattice parameters and positions (GGA-PBE); Cu Kα X-rays).
Intensities are scaled so that the largest is 100.

Main lines, sorted by position (2θ = 15–90°):
| 2theta | intensity | (hkl) |
| --- | --- | --- |
| 28.72 | 33.8 | 1 1 3 |
| 29.10 | 30.0 | 3 -1 1 |
| 31.82 | 32.9 | 3 -2 2 |
| 32.00 | 41.6 | 3 0 0 |
| 38.54 | 31.9 | 0 1 5 |
| 39.42 | 50.2 | 4 -3 1 |
| 41.13 | 39.3 | 2 1 4 |
| 43.53 | 100.0 | 4 -2 3 |
| 49.68 | 27.4 | 5 -3 2 |
| 56.59 | 33.6 | 3 2 4 |

```
data_InMo6Se8
_space_group_name_H-M_alt 'R -3'
_space_group_IT_number 148
_space_group_name_Hall '-R 3'
_cell_length_a 9.6884
_cell_length_b 9.6884
_cell_length_c 12.1617
_cell_angle_alpha 90.00
_cell_angle_beta 90.00
_cell_angle_gamma 120.00
loop_
_atom_site_label
_atom_site_fract_x
_atom_site_fract_y
_atom_site_fract_z
In1 0.0000 0.0000 0.0000
Mo1 0.0137 0.1672 0.4074
Se1 0.0000 0.0000 0.2437
Se2 0.0067 0.3713 0.2503
```

---

No. 2
Structure and theoretical powder XRD pattern of TaCo2 (DFT lattice parameters and positions (GGA-PBE); Cu Kα X-rays).
Intensities are scaled so that the largest is 100.

Main lines, sorted by position (2θ = 15–90°):
| 2theta | intensity | (hkl) |
| --- | --- | --- |
| 36.32 | 25.1 | 1 0 5 |
| 37.86 | 73.7 | 1 1 0 |
| 41.31 | 80.9 | 1 0 6 |
| 44.41 | 21.4 | 2 0 1 |
| 44.76 | 100.0 | 1 1 4 |
| 45.62 | 40.3 | 2 0 2 |
| 70.73 | 36.9 | 2 1 6 |
| 73.20 | 22.5 | 3 0 4 |
| 77.12 | 20.3 | 2 0 10 |
| 80.91 | 22.2 | 2 2 0 |

```
data_TaCo2
_space_group_name_H-M_alt 'P 63/m m c'
_space_group_IT_number 194
_space_group_name_Hall '-P 6c 2c'
_cell_length_a 4.7524
_cell_length_b 4.7524
_cell_length_c 15.4754
_cell_angle_alpha 90.00
_cell_angle_beta 90.00
_cell_angle_gamma 120.00
loop_
_atom_site_label
_atom_site_fract_x
_atom_site_fract_y
_atom_site_fract_z
Ta1 0.0000 0.0000 0.0924
Ta2 0.3333 0.6667 0.1558
Co1 0.0000 0.5000 0.0000
Co2 0.1651 0.3303 0.7500
Co3 0.3333 0.6667 0.6259
```

---

No. 3
Structure and theoretical powder XRD pattern of SmMgRh2 (DFT lattice parameters and positions (GGA-PBE); Cu Kα X-rays).
Intensities are scaled so that the largest is 100.

Main lines, sorted by position (2θ = 15–90°):
| 2theta | intensity | (hkl) |
| --- | --- | --- |
| 23.12 | 24.9 | 1 1 1 |
| 26.76 | 1.2 | 2 0 0 |
| 38.20 | 100.0 | 2 2 0 |
| 45.12 | 12.9 | 3 1 1 |
| 55.13 | 17.0 | 4 0 0 |
| 60.57 | 5.4 | 3 3 1 |
| 69.05 | 34.2 | 4 2 2 |
| 73.90 | 4.1 | 5 1 1 |
| 81.75 | 10.7 | 4 4 0 |
| 86.38 | 4.2 | 5 3 1 |

```
data_SmMgRh2
_space_group_name_H-M_alt 'F m -3 m'
_space_group_IT_number 225
_space_group_name_Hall '-F 4 2 3'
_cell_length_a 6.664
_cell_length_b 6.664
_cell_length_c 6.664
_cell_angle_alpha 90.00
_cell_angle_beta 90.00
_cell_angle_gamma 90.00
loop_
_atom_site_label
_atom_site_fract_x
_atom_site_fract_y
_atom_site_fract_z
Sm1 0.000 0.000 0.000
Mg1 0.000 0.000 0.500
Rh1 0.250 0.250 0.250
```

---

No. 4
Structure and theoretical powder XRD pattern of Ca2AgPd (DFT lattice parameters and positions (GGA-PBE); Cu Kα X-rays).
Intensities are scaled so that the largest is 100.

Main lines, sorted by position (2θ = 15–90°):
| 2theta | intensity | (hkl) |
| --- | --- | --- |
| 24.51 | 24.5 | 2 0 0 |
| 34.94 | 100.0 | 2 2 0 |
| 43.14 | 7.5 | 2 2 2 |
| 50.24 | 16.9 | 4 0 0 |
| 56.67 | 10.0 | 4 2 0 |
| 62.65 | 33.6 | 4 2 2 |
| 73.79 | 10.1 | 4 4 0 |
| 79.10 | 4.8 | 6 0 0 |
| 84.32 | 14.2 | 6 2 0 |
| 89.49 | 3.0 | 6 2 2 |

```
data_Ca2AgPd
_space_group_name_H-M_alt 'F m -3 m'
_space_group_IT_number 225
_space_group_name_Hall '-F 4 2 3'
_cell_length_a 7.264
_cell_length_b 7.264
_cell_length_c 7.264
_cell_angle_alpha 90.00
_cell_angle_beta 90.00
_cell_angle_gamma 90.00
loop_
_atom_site_label
_atom_site_fract_x
_atom_site_fract_y
_atom_site_fract_z
Ca1 0.250 0.250 0.250
Ag1 0.000 0.000 0.000
Pd1 0.000 0.000 0.500
```

---

No. 5
Structure and theoretical powder XRD pattern of Er2IrRh (DFT lattice parameters and positions (GGA-PBE); Cu Kα X-rays).
Intensities are scaled so that the largest is 100.

Main lines, sorted by position (2θ = 15–90°):
| 2theta | intensity | (hkl) |
| --- | --- | --- |
| 22.65 | 4.0 | 1 1 1 |
| 37.41 | 100.0 | 2 2 0 |
| 44.18 | 2.3 | 3 1 1 |
| 53.94 | 17.5 | 4 0 0 |
| 59.24 | 1.0 | 3 3 1 |
| 67.49 | 35.7 | 4 2 2 |
| 72.20 | 0.8 | 5 1 1 |
| 79.80 | 11.2 | 4 4 0 |
| 84.26 | 0.8 | 5 3 1 |

```
data_Er2IrRh
_space_group_name_H-M_alt 'F m -3 m'
_space_group_IT_number 225
_space_group_name_Hall '-F 4 2 3'
_cell_length_a 6.799
_cell_length_b 6.799
_cell_length_c 6.799
_cell_angle_alpha 90.00
_cell_angle_beta 90.00
_cell_angle_gamma 90.00
loop_
_atom_site_label
_atom_site_fract_x
_atom_site_fract_y
_atom_site_fract_z
Er1 0.250 0.250 0.250
Ir1 0.000 0.000 0.000
Rh1 0.000 0.000 0.500
```

---

No. 6
Structure and theoretical powder XRD pattern of Na5Cu3As4O16 (DFT lattice parameters and positions (GGA-PBE); Cu Kα X-rays).
Intensities are scaled so that the largest is 100.

Main lines, sorted by position (2θ = 15–90°):
| 2theta | intensity | (hkl) |
| --- | --- | --- |
| 21.18 | 35.1 | 0 0 2 |
| 23.95 | 41.8 | 0 2 0 |
| 25.07 | 75.5 | 1 1 2 |
| 28.89 | 33.4 | 0 1 -2 |
| 30.92 | 30.8 | -1 2 1 |
| 32.36 | 43.3 | 1 3 1 |
| 32.99 | 49.9 | 1 2 3 |
| 33.24 | 50.5 | -1 1 3 |
| 33.49 | 100.0 | 2 1 0 |
| 39.33 | 36.5 | 0 1 -3 |

```
data_Na5Cu3As4O16
_space_group_name_H-M_alt 'P -1'
_space_group_IT_number 2
_space_group_name_Hall '-P 1'
_cell_length_a 5.362
_cell_length_b 8.697
_cell_length_c 9.468
_cell_angle_alpha 63.20
_cell_angle_beta 89.13
_cell_angle_gamma 74.65
loop_
_atom_site_label
_atom_site_fract_x
_atom_site_fract_y
_atom_site_fract_z
Na1 0.000 0.000 0.000
Na2 0.294 0.455 0.260
Na3 0.342 0.356 0.637
Cu1 0.160 0.747 0.790
Cu2 0.500 0.000 0.500
As1 0.061 0.823 0.427
As2 0.262 0.308 0.979
O1 0.025 0.012 0.247
O2 0.073 0.668 0.003
O3 0.216 0.638 0.406
O4 0.234 0.202 0.500
O5 0.253 0.840 0.570
O6 0.269 0.511 0.809
O7 0.355 0.166 0.898
O8 0.422 0.259 0.153
```

---

No. 7
Structure and theoretical powder XRD pattern of Ca2Mg (DFT lattice parameters and positions (GGA-PBE); Cu Kα X-rays).
Intensities are scaled so that the largest is 100.

Main lines, sorted by position (2θ = 15–90°):
| 2theta | intensity | (hkl) |
| --- | --- | --- |
| 20.17 | 6.2 | 0 0 4 |
| 27.29 | 24.9 | 1 0 0 |
| 30.46 | 22.5 | 0 0 6 |
| 31.33 | 100.0 | 1 0 3 |
| 41.35 | 13.8 | 1 0 6 |
| 48.23 | 18.6 | 1 1 0 |
| 54.67 | 15.2 | 1 0 9 |
| 58.12 | 18.5 | 1 1 6 |
| 58.64 | 14.4 | 2 0 3 |
| 79.25 | 11.0 | 2 1 3 |

```
data_Ca2Mg
_space_group_name_H-M_alt 'P 63/m m c'
_space_group_IT_number 194
_space_group_name_Hall '-P 6c 2c'
_cell_length_a 3.7737
_cell_length_b 3.7737
_cell_length_c 17.6102
_cell_angle_alpha 90.00
_cell_angle_beta 90.00
_cell_angle_gamma 120.00
loop_
_atom_site_label
_atom_site_fract_x
_atom_site_fract_y
_atom_site_fract_z
Ca1 0.3333 0.6667 0.0923
Mg1 0.3333 0.6667 0.7500
```